The following is a calculated XRD peak list of TbZnPd6. It was derived from a structure optimized by DFT (GGA-PBE), using Cu Ka.
Kinematic intensities with the Lorentz-polarization factor, no thermal factor.

Structure:
```
data_TbZnPd6
_symmetry_space_group_name_H-M 'P 1'
_symmetry_Int_Tables_number 1
_cell_length_a 4.061
_cell_length_b 4.061
_cell_length_c 7.931
_cell_angle_alpha 90.00
_cell_angle_beta 90.00
_cell_angle_gamma 90.00
loop_
_symmetry_equiv_pos_as_xyz
'x,y,z'
loop_
_atom_site_label
_atom_site_type_symbol
_atom_site_fract_x
_atom_site_fract_y
_atom_site_fract_z
Tb1 Tb 0.000 0.000 0.000
Zn1 Zn 0.000 0.000 0.500
Pd1 Pd 0.000 0.500 0.266
Pd2 Pd 0.000 0.500 0.734
Pd3 Pd 0.500 0.000 0.266
Pd4 Pd 0.500 0.000 0.734
Pd5 Pd 0.500 0.500 0.000
Pd6 Pd 0.500 0.500 0.500
```

The 6 most intense peaks (10° ≤ 2θ ≤ 90°), sorted by position:
hkl	d (Å)	intensity
1 1 2	2.326	100
2 0 0	2.030	34
0 0 4	1.983	15
2 2 0	1.436	11
2 0 4	1.419	19
3 1 2	1.222	25